Diffraction record for NaScTl2F6. The powder diffraction line list is computed, not measured: it uses DFT lattice parameters and positions (GGA-PBE) and Cu Kα (λ = 1.5418 Å).
Peak positions follow from Bragg's law for the DFT cell and can differ from measured ones.

Principal peaks in the range 2θ from 15° to 90°, by angle:
20.33 deg, intensity 50.6
28.90 deg, intensity 100.0
35.59 deg, intensity 41.7
41.33 deg, intensity 35.0
46.47 deg, intensity 26.8
51.21 deg, intensity 41.7
59.88 deg, intensity 22.0
82.63 deg, intensity 22.1

Crystal structure
a b c (Å): 6.179 6.179 6.179
angles (deg): 60.00 60.00 60.00
Fractional positions:
Na 0.000 0.000 0.000
Sc 0.500 0.500 0.500
Tl 0.250 0.250 0.250
Tl 0.750 0.750 0.750
F 0.266 0.266 0.734
F 0.266 0.734 0.266
F 0.266 0.734 0.734
F 0.734 0.266 0.266
F 0.734 0.266 0.734
F 0.734 0.734 0.266



Diffraction record for Nd3SiBrCl. The powder diffraction line list is computed, not measured: it uses DFT lattice parameters and positions (GGA-PBE) and Cu Kα (λ = 1.5418 Å).
Peak positions follow from Bragg's law for the DFT cell and can differ from measured ones.

Principal peaks in the range 2θ from 15° to 90°, by angle:
23.70 deg, intensity 17.4
29.48 deg, intensity 33.0
29.72 deg, intensity 100.0
31.79 deg, intensity 16.4
32.49 deg, intensity 27.0
33.03 deg, intensity 20.1
38.73 deg, intensity 15.2
43.93 deg, intensity 19.9

Crystal structure
a b c (Å): 9.042 4.122 9.339
angles (deg): 90.00 103.25 90.00
Fractional positions:
Nd 0.145 0.250 0.103
Nd 0.145 0.250 0.464
Nd 0.284 0.750 0.815
Nd 0.716 0.250 0.185
Nd 0.855 0.750 0.536
Nd 0.855 0.750 0.897
Si 0.043 0.250 0.761
Si 0.957 0.750 0.239
Br 0.414 0.750 0.143
Br 0.586 0.250 0.857
Cl 0.367 0.750 0.547
Cl 0.633 0.250 0.453



Diffraction record for MnGaAs. The powder diffraction line list is computed, not measured: it uses DFT lattice parameters and positions (GGA-PBE) and Cu Kα (λ = 1.5418 Å).
Peak positions follow from Bragg's law for the DFT cell and can differ from measured ones.

Principal peaks in the range 2θ from 15° to 90°, by angle:
26.05 deg, intensity 20.5
30.16 deg, intensity 29.1
43.18 deg, intensity 100.0
51.13 deg, intensity 8.1
53.58 deg, intensity 7.8
62.72 deg, intensity 15.2
71.16 deg, intensity 10.0
79.19 deg, intensity 29.2

Crystal structure
a b c (Å): 5.926 5.926 5.926
angles (deg): 90.00 90.00 90.00
Fractional positions:
Mn 0.237 0.263 0.737
Mn 0.263 0.737 0.237
Mn 0.737 0.237 0.263
Mn 0.763 0.763 0.763
Ga 0.010 0.010 0.010
Ga 0.490 0.990 0.510
Ga 0.510 0.490 0.990
Ga 0.990 0.510 0.490
As 0.008 0.992 0.492
As 0.492 0.008 0.992
As 0.508 0.508 0.508
As 0.992 0.492 0.008



Diffraction record for TbPr2Bi3. The powder diffraction line list is computed, not measured: it uses DFT lattice parameters and positions (GGA-PBE) and Cu Kα (λ = 1.5418 Å).
Peak positions follow from Bragg's law for the DFT cell and can differ from measured ones.

Principal peaks in the range 2θ from 15° to 90°, by angle:
23.72 deg, intensity 5.0
27.46 deg, intensity 100.0
39.23 deg, intensity 78.5
48.55 deg, intensity 28.6
56.68 deg, intensity 13.5
64.11 deg, intensity 37.4
71.10 deg, intensity 27.7
84.34 deg, intensity 9.0

Crystal structure
a b c (Å): 7.959 7.959 7.951
angles (deg): 99.59 99.59 120.02
Fractional positions:
Tb 0.168 0.832 0.000
Tb 0.832 0.168 0.000
Pr 0.000 0.000 0.500
Pr 0.336 0.664 0.500
Pr 0.500 0.500 0.000
Pr 0.664 0.336 0.500
Bi 0.080 0.418 0.756
Bi 0.242 0.242 0.242
Bi 0.418 0.080 0.756
Bi 0.582 0.920 0.244
Bi 0.758 0.758 0.758
Bi 0.920 0.582 0.244



Diffraction record for BaScTe3. The powder diffraction line list is computed, not measured: it uses DFT lattice parameters and positions (GGA-PBE) and Cu Kα (λ = 1.5418 Å).
Peak positions follow from Bragg's law for the DFT cell and can differ from measured ones.

Principal peaks in the range 2θ from 15° to 90°, by angle:
27.76 deg, intensity 80.6
28.07 deg, intensity 94.2
29.03 deg, intensity 45.8
29.27 deg, intensity 61.5
29.70 deg, intensity 100.0
34.45 deg, intensity 26.9
40.80 deg, intensity 41.5
51.00 deg, intensity 25.8

Crystal structure
a b c (Å): 9.537 4.423 16.102
angles (deg): 90.00 90.00 90.00
Fractional positions:
Ba 0.078 0.250 0.174
Ba 0.422 0.750 0.674
Ba 0.578 0.250 0.326
Ba 0.922 0.750 0.826
Sc 0.163 0.750 0.444
Sc 0.337 0.250 0.944
Sc 0.663 0.750 0.056
Sc 0.837 0.250 0.556
Te 0.025 0.750 0.606
Te 0.163 0.750 0.007
Te 0.203 0.250 0.784
Te 0.297 0.750 0.284
Te 0.337 0.250 0.507
Te 0.475 0.250 0.106
Te 0.525 0.750 0.894
Te 0.663 0.750 0.493
Te 0.703 0.250 0.716
Te 0.797 0.750 0.216
Te 0.837 0.250 0.993
Te 0.975 0.250 0.394



Diffraction record for BaTc2RhO8. The powder diffraction line list is computed, not measured: it uses DFT lattice parameters and positions (GGA-PBE) and Cu Kα (λ = 1.5418 Å).
Peak positions follow from Bragg's law for the DFT cell and can differ from measured ones.

Principal peaks in the range 2θ from 15° to 90°, by angle:
18.74 deg, intensity 29.3
22.20 deg, intensity 84.4
30.39 deg, intensity 100.0
32.76 deg, intensity 76.0
45.29 deg, intensity 37.8
57.01 deg, intensity 35.6
58.48 deg, intensity 20.4
59.78 deg, intensity 31.6

Crystal structure
a b c (Å): 5.468 5.468 7.505
angles (deg): 90.00 90.00 120.00
Fractional positions:
Ba 0.000 0.000 0.000
Tc 0.333 0.667 0.739
Tc 0.667 0.333 0.261
Rh 0.000 0.000 0.500
O 0.054 0.321 0.673
O 0.267 0.946 0.673
O 0.321 0.267 0.327
O 0.333 0.667 0.976
O 0.667 0.333 0.024
O 0.679 0.733 0.673
O 0.733 0.054 0.327
O 0.946 0.679 0.327